Entry 1:
For AcPr12Dy5, the GGA-PBE geometry in Alexandria gives the theoretical powder X-ray diffraction pattern in this record (Cu Kα).

Principal peaks in the range 2θ = 5–70°, by angle:
two_theta, I (rel.)
11.3, 1
24.8, 1
29.7, 100
34.4, 51
49.5, 36
58.8, 29
58.8, 14
61.7, 12

Atomic structure:
```
AcPr12Dy5
1.0
7.8045 -7.8227 0.0000
7.8045 7.8227 0.0000
0.0000 0.0000 5.2096
Ac Pr Dy
1 12 5
direct
0.0000 0.0000 0.0000 Ac
0.0022 0.6645 0.0000 Pr
0.1699 0.1699 0.5000 Pr
0.1704 0.5026 0.5000 Pr
0.3355 0.9978 0.0000 Pr
0.3367 0.3367 0.0000 Pr
0.4974 0.8296 0.5000 Pr
0.5026 0.1704 0.5000 Pr
0.6633 0.6633 0.0000 Pr
0.6645 0.0022 0.0000 Pr
0.8296 0.4974 0.5000 Pr
0.8301 0.8301 0.5000 Pr
0.9978 0.3355 0.0000 Pr
0.1703 0.8297 0.5000 Dy
0.3332 0.6668 0.0000 Dy
0.5000 0.5000 0.5000 Dy
0.6668 0.3332 0.0000 Dy
0.8297 0.1703 0.5000 Dy
```



Entry 2:
For Sc2BeAu2, the GGA-PBE geometry in Alexandria gives the theoretical powder X-ray diffraction pattern in this record (Cu Kα).

Principal peaks in the range 2θ = 5–70°, by angle:
two_theta, I (rel.)
18.0, 29
22.8, 29
28.6, 39
29.2, 10
36.9, 100
40.8, 21
46.6, 11
47.3, 13
52.4, 10
55.6, 13
57.8, 9
63.6, 11

Atomic structure:
```
Sc2BeAu2
1.0
6.9880 0.0000 0.0000
0.0000 6.9880 0.0000
0.0000 0.0000 3.8992
Sc Be Au
4 2 4
direct
0.1661 0.3339 0.0000 Sc
0.3339 0.8339 0.0000 Sc
0.6661 0.1661 0.0000 Sc
0.8339 0.6661 0.0000 Sc
0.0000 0.0000 0.5000 Be
0.5000 0.5000 0.5000 Be
0.1442 0.6442 0.5000 Au
0.3558 0.1442 0.5000 Au
0.6442 0.8558 0.5000 Au
0.8558 0.3558 0.5000 Au
```



Entry 3:
For YCo9Si3, the GGA-PBE geometry in Alexandria gives the theoretical powder X-ray diffraction pattern in this record (Cu Kα).

Principal peaks in the range 2θ = 5–70°, by angle:
two_theta, I (rel.)
30.9, 15
38.1, 68
38.5, 37
44.1, 33
44.2, 43
44.4, 27
44.5, 41
44.6, 100
45.2, 26
49.7, 14
49.9, 46
50.6, 33

Atomic structure:
```
YCo9Si3
1.0
2.3615 -5.7862 0.0000
2.3615 5.7862 0.0000
-2.2596 0.0000 5.6991
Y Co Si
1 9 3
direct
0.0000 0.0000 0.0000 Y
0.0000 0.0000 0.5000 Co
0.0044 0.6487 0.6482 Co
0.2750 0.5046 0.7746 Co
0.3513 0.9956 0.3518 Co
0.4954 0.7250 0.2254 Co
0.5046 0.2750 0.7746 Co
0.6487 0.0044 0.6482 Co
0.7250 0.4954 0.2254 Co
0.9956 0.3513 0.3518 Co
0.0000 0.5000 0.0000 Si
0.5000 0.0000 0.0000 Si
0.5000 0.5000 0.5000 Si
```



Entry 4:
For CsSmCo2Cl8, the GGA-PBE geometry in Alexandria gives the theoretical powder X-ray diffraction pattern in this record (Cu Kα).

Principal peaks in the range 2θ = 5–70°, by angle:
two_theta, I (rel.)
19.5, 100
27.2, 38
28.3, 27
28.6, 18
32.5, 34
33.7, 24
39.6, 11
43.8, 24
45.3, 34
48.0, 26
48.7, 12
68.1, 10

Atomic structure:
```
CsSmCo2Cl8
1.0
3.2836 1.8958 10.0947
-3.2836 1.8958 10.0947
0.0000 -3.7916 10.0947
Cs Sm Co Cl
1 1 2 8
direct
0.0000 0.0000 0.0000 Cs
0.5000 0.5000 0.5000 Sm
0.2444 0.2444 0.2444 Co
0.7556 0.7556 0.7556 Co
0.1089 0.7807 0.4512 Cl
0.2193 0.5488 0.8911 Cl
0.3167 0.3167 0.3167 Cl
0.4512 0.1089 0.7807 Cl
0.5488 0.8911 0.2193 Cl
0.6833 0.6833 0.6833 Cl
0.7807 0.4512 0.1089 Cl
0.8911 0.2193 0.5488 Cl
```



Entry 5:
For Pm3Er8Sc3, the GGA-PBE geometry in Alexandria gives the theoretical powder X-ray diffraction pattern in this record (Cu Kα).

Principal peaks in the range 2θ = 5–70°, by angle:
two_theta, I (rel.)
21.8, 16
27.5, 20
28.0, 13
31.6, 44
32.3, 32
32.3, 24
32.5, 100
32.9, 56
33.8, 44
46.8, 17
58.4, 19
63.2, 14

Atomic structure:
```
Pm3Er8Sc3
1.0
8.3198 -2.7259 0.0000
8.3198 2.7259 0.0000
-2.2473 0.0000 9.4165
Pm Er Sc
3 8 3
direct
0.0000 0.0000 0.0000 Pm
0.4662 0.4662 0.2574 Pm
0.5338 0.5338 0.7426 Pm
0.1196 0.1196 0.3171 Er
0.1688 0.1688 0.7312 Er
0.2408 0.2408 0.0966 Er
0.3232 0.3232 0.4909 Er
0.6768 0.6768 0.5091 Er
0.7592 0.7592 0.9034 Er
0.8312 0.8312 0.2688 Er
0.8804 0.8804 0.6829 Er
0.0000 0.0000 0.5000 Sc
0.3700 0.3700 0.8814 Sc
0.6300 0.6300 0.1186 Sc
```



Entry 6:
For InPd7S2, the GGA-PBE geometry in Alexandria gives the theoretical powder X-ray diffraction pattern in this record (Cu Kα).

Principal peaks in the range 2θ = 5–70°, by angle:
two_theta, I (rel.)
8.9, 10
27.1, 7
31.2, 21
32.5, 24
36.2, 28
36.4, 19
41.7, 100
44.7, 53
45.9, 5
58.9, 18
65.0, 17
66.0, 7

Atomic structure:
```
InPd7S2
1.0
-2.0289 2.0289 9.8850
2.0289 -2.0289 9.8850
2.0289 2.0289 -9.8850
In Pd S
1 7 2
direct
0.0000 0.0000 0.0000 In
0.1029 0.6029 0.5000 Pd
0.2500 0.7500 0.5000 Pd
0.3971 0.8971 0.5000 Pd
0.5000 0.5000 0.0000 Pd
0.6029 0.1029 0.5000 Pd
0.7500 0.2500 0.5000 Pd
0.8971 0.3971 0.5000 Pd
0.3266 0.3266 0.0000 S
0.6734 0.6734 0.0000 S
```



What did the third record say?
For YCo9Si3, the GGA-PBE geometry in Alexandria gives the theoretical powder X-ray diffraction pattern in this record (Cu Kα).

Principal peaks in the range 2θ = 5–70°, by angle:
two_theta, I (rel.)
30.9, 15
38.1, 68
38.5, 37
44.1, 33
44.2, 43
44.4, 27
44.5, 41
44.6, 100
45.2, 26
49.7, 14
49.9, 46
50.6, 33

Atomic structure:
```
YCo9Si3
1.0
2.3615 -5.7862 0.0000
2.3615 5.7862 0.0000
-2.2596 0.0000 5.6991
Y Co Si
1 9 3
direct
0.0000 0.0000 0.0000 Y
0.0000 0.0000 0.5000 Co
0.0044 0.6487 0.6482 Co
0.2750 0.5046 0.7746 Co
0.3513 0.9956 0.3518 Co
0.4954 0.7250 0.2254 Co
0.5046 0.2750 0.7746 Co
0.6487 0.0044 0.6482 Co
0.7250 0.4954 0.2254 Co
0.9956 0.3513 0.3518 Co
0.0000 0.5000 0.0000 Si
0.5000 0.0000 0.0000 Si
0.5000 0.5000 0.5000 Si
```



Number 3 is which compound? YCo9Si3